Entry 1:
For CsSrI3, a cell relaxed with GGA-PBE gives the computed XRD peak list in this record (Cu Kα (λ = 1.5418 Å)).
Peak positions follow from Bragg's law for the DFT cell and can differ from measured ones.

Most intense lines, 10° ≤ 2θ ≤ 90°, in order of falling intensity:
d (Å)  2θ/deg  I_rel
3.593  24.78  100
3.081  28.98  59
3.335  26.73  41
2.378  37.84  33
3.904  22.78  32
4.086  21.75  30
2.353  38.25  26
5.579  15.89  25
3.417  26.08  25
2.817  31.76  25
3.674  24.23  24
2.948  30.31  19

Structural model:
Lattice parameters (Å, degrees): 10.639 10.639 11.280 98.23 98.23 25.83
Positions (direct):
Cs 0.189 0.189 0.257
Cs 0.811 0.811 0.743
Sr 0.078 0.078 0.786
Sr 0.922 0.922 0.214
I 0.176 0.176 0.600
I 0.347 0.347 0.041
I 0.469 0.469 0.722
I 0.531 0.531 0.278
I 0.653 0.653 0.959
I 0.824 0.824 0.400

Entry 2:
For Cs2Sr2I5, a cell relaxed with GGA-PBE gives the computed XRD peak list in this record (Cu Kα (λ = 1.5418 Å)).
Peak positions follow from Bragg's law for the DFT cell and can differ from measured ones.

Most intense lines, 10° ≤ 2θ ≤ 90°, in order of falling intensity:
d (Å)  2θ/deg  I_rel
3.305  26.98  100
3.819  23.29  60
2.998  29.80  55
3.557  25.03  52
2.954  30.26  45
2.420  37.15  40
5.046  17.57  31
5.527  16.04  29
1.843  49.46  28
2.811  31.83  22
3.125  28.56  22
2.980  29.98  21

Structural model:
Lattice parameters (Å, degrees): 9.138 9.138 10.106 120.87 120.87 42.38
Positions (direct):
Cs 0.119 0.119 0.447
Cs 0.881 0.881 0.553
Sr 0.384 0.384 0.098
Sr 0.616 0.616 0.902
I 0.145 0.145 0.886
I 0.382 0.382 0.769
I 0.500 0.500 0.500
I 0.618 0.618 0.231
I 0.855 0.855 0.114

Entry 3:
For CsSrVI6, a cell relaxed with GGA-PBE gives the computed XRD peak list in this record (Cu Kα (λ = 1.5418 Å)).
Peak positions follow from Bragg's law for the DFT cell and can differ from measured ones.

Most intense lines, 10° ≤ 2θ ≤ 90°, in order of falling intensity:
d (Å)  2θ/deg  I_rel
3.619  24.60  100
2.903  30.80  73
5.357  16.55  43
2.505  35.84  36
2.314  38.92  29
8.422  10.50  25
1.864  48.86  17
2.299  39.18  17
1.810  50.43  12
3.471  25.66  12
2.228  40.48  12
3.600  24.73  11

Structural model:
Lattice parameters (Å, degrees): 8.017 8.017 8.422 90.00 90.00 120.00
Positions (direct):
Cs 0.000 0.000 0.000
Sr 0.333 0.667 0.500
V 0.667 0.333 0.500
I 0.391 0.046 0.697
I 0.391 0.345 0.303
I 0.655 0.046 0.303
I 0.655 0.609 0.697
I 0.954 0.345 0.697
I 0.954 0.609 0.303

Entry 4:
For CsSrYI6, a cell relaxed with GGA-PBE gives the computed XRD peak list in this record (Cu Kα (λ = 1.5418 Å)).
Peak positions follow from Bragg's law for the DFT cell and can differ from measured ones.

Most intense lines, 10° ≤ 2θ ≤ 90°, in order of falling intensity:
d (Å)  2θ/deg  I_rel
3.716  23.94  100
2.948  30.32  72
5.454  16.25  42
2.394  37.57  35
2.317  38.87  24
2.582  34.74  23
1.938  46.88  16
8.382  10.55  14
1.858  49.02  13
1.577  58.54  11
2.012  45.05  11
3.591  24.80  10

Structural model:
Lattice parameters (Å, degrees): 8.293 8.293 16.765 90.00 90.00 120.00
Positions (direct):
Cs 0.000 0.000 0.000
Cs 0.000 0.000 0.500
Sr 0.333 0.667 0.250
Sr 0.667 0.333 0.750
Y 0.333 0.667 0.750
Y 0.667 0.333 0.250
I 0.022 0.385 0.642
I 0.022 0.637 0.858
I 0.363 0.385 0.858
I 0.363 0.978 0.642
I 0.385 0.022 0.142
I 0.385 0.363 0.358
I 0.615 0.637 0.642
I 0.615 0.978 0.858
I 0.637 0.022 0.358
I 0.637 0.615 0.142
I 0.978 0.363 0.142
I 0.978 0.615 0.358